Simulated powder diffractogram of Rb2DySb4Au3 for Cu Kα (λ = 1.5418 Å), from a PBE-relaxed structure.
Neutral-atom scattering factors, no anomalous dispersion.

Unit cell a=4.887 b=4.887 c=12.210 alpha=90.00 beta=90.00 gamma=90.00
Positions (direct):
Rb (0.000, 0.500, 0.243)
Rb (0.500, 0.000, 0.757)
Dy (0.000, 0.000, 0.500)
Sb (0.000, 0.000, 0.000)
Sb (0.000, 0.500, 0.642)
Sb (0.500, 0.000, 0.358)
Sb (0.500, 0.500, 0.000)
Au (0.000, 0.500, 0.876)
Au (0.500, 0.000, 0.124)
Au (0.500, 0.500, 0.500)

The 10 most intense peaks (10 to 90 degrees two-theta), low angle first:
2θ/deg  intensity
14.5  28
19.6  35
28.5  52
29.7  100
36.8  86
39.4  76
41.3  28
47.2  26
53.0  32
68.0  31



Simulated powder diffractogram of NaTlAg2I4 for Cu Kα (λ = 1.5418 Å), from a PBE-relaxed structure.
Neutral-atom scattering factors, no anomalous dispersion.

Unit cell a=7.405 b=7.405 c=7.405 alpha=114.17 beta=109.07 gamma=105.30
Positions (direct):
Na (0.000, 0.000, 0.000)
Tl (0.500, 0.500, 0.000)
Ag (0.166, 0.666, 0.500)
Ag (0.834, 0.334, 0.500)
I (0.015, 0.060, 0.446)
I (0.386, 0.940, 0.956)
I (0.614, 0.569, 0.554)
I (0.985, 0.431, 0.044)

The 10 most intense peaks (10 to 90 degrees two-theta), low angle first:
2θ/deg  intensity
14.8  57
25.0  100
25.5  64
29.8  29
30.4  96
31.6  35
38.9  31
40.6  28
43.1  34
49.5  40



Simulated powder diffractogram of LaCl for Cu Kα (λ = 1.5418 Å), from a PBE-relaxed structure.
Neutral-atom scattering factors, no anomalous dispersion.

Unit cell a=4.844 b=4.844 c=4.844 alpha=44.72 beta=44.72 gamma=44.72
Positions (direct):
La (0.000, 0.000, 0.000)
Cl (0.500, 0.500, 0.500)

The 10 most intense peaks (10 to 90 degrees two-theta), low angle first:
2θ/deg  intensity
20.4  31
28.8  41
31.2  100
39.5  52
41.5  15
44.8  13
49.5  26
54.0  15
59.6  15
66.5  21



Simulated powder diffractogram of Ga4Pd9Au2 for Cu Kα (λ = 1.5418 Å), from a PBE-relaxed structure.
Neutral-atom scattering factors, no anomalous dispersion.

Unit cell a=4.323 b=4.323 c=15.073 alpha=90.00 beta=90.00 gamma=120.00
Positions (direct):
Ga (0.333, 0.667, 0.118)
Ga (0.333, 0.667, 0.385)
Ga (0.667, 0.333, 0.615)
Ga (0.667, 0.333, 0.882)
Pd (0.000, 0.000, 0.136)
Pd (0.000, 0.000, 0.323)
Pd (0.000, 0.000, 0.500)
Pd (0.000, 0.000, 0.677)
Pd (0.000, 0.000, 0.864)
Pd (0.333, 0.667, 0.573)
Pd (0.333, 0.667, 0.951)
Pd (0.667, 0.333, 0.049)
Pd (0.667, 0.333, 0.427)
Au (0.333, 0.667, 0.764)
Au (0.667, 0.333, 0.236)

The 10 most intense peaks (10 to 90 degrees two-theta), low angle first:
2θ/deg  intensity
24.5  31
38.3  79
41.8  100
43.4  41
58.0  23
61.8  14
74.0  23
76.3  17
77.4  15
83.5  13



Simulated powder diffractogram of NaHg5Bi for Cu Kα (λ = 1.5418 Å), from a PBE-relaxed structure.
Neutral-atom scattering factors, no anomalous dispersion.

Unit cell a=6.252 b=6.252 c=6.787 alpha=117.83 beta=117.83 gamma=71.92
Positions (direct):
Na (0.000, 0.000, 0.000)
Hg (0.360, 0.360, 0.937)
Hg (0.371, 0.371, 0.386)
Hg (0.469, 0.905, 0.484)
Hg (0.657, 0.657, 0.920)
Hg (0.905, 0.469, 0.484)
Bi (0.954, 0.954, 0.478)

The 10 most intense peaks (10 to 90 degrees two-theta), low angle first:
2θ/deg  intensity
16.0  39
24.2  24
26.9  22
29.2  26
30.3  81
32.3  100
32.6  48
34.8  52
36.2  91
42.0  32



Simulated powder diffractogram of Zr9ScAl2 for Cu Kα (λ = 1.5418 Å), from a PBE-relaxed structure.
Neutral-atom scattering factors, no anomalous dispersion.

Unit cell a=4.437 b=4.437 c=13.305 alpha=90.00 beta=90.00 gamma=90.00
Positions (direct):
Zr (0.000, 0.000, 0.000)
Zr (0.000, 0.000, 0.338)
Zr (0.000, 0.000, 0.662)
Zr (0.000, 0.500, 0.173)
Zr (0.000, 0.500, 0.500)
Zr (0.000, 0.500, 0.827)
Zr (0.500, 0.000, 0.173)
Zr (0.500, 0.000, 0.500)
Zr (0.500, 0.000, 0.827)
Sc (0.500, 0.500, 0.000)
Al (0.500, 0.500, 0.336)
Al (0.500, 0.500, 0.664)

The 10 most intense peaks (10 to 90 degrees two-theta), low angle first:
2θ/deg  intensity
20.0  11
28.5  10
35.0  100
40.7  49
45.7  5
50.4  4
58.9  31
70.4  36
74.0  10
88.1  5



> Which formula does entry 5 have?

NaHg5Bi